[1]
Diffraction record for MgBi2O4. The powder diffraction line list is computed, not measured: it uses a DFT-relaxed cell (PBE, the Materials Project) and Cu Ka.
Lines closer than 0.1° are merged.

Principal peaks in the range 10° ≤ 2θ ≤ 80°, by angle:
26.3 deg, intensity 707; 26.9 deg, intensity 548; 30.5 deg, intensity 1000; 30.6 deg, intensity 653; 31.0 deg, intensity 557; 31.1 deg, intensity 362; 31.3 deg, intensity 481; 49.8 deg, intensity 414; 54.0 deg, intensity 367; 54.2 deg, intensity 344

Unit cell a=6.776 b=6.776 c=16.405 alpha=91.14 beta=91.14 gamma=61.54
Element x y z (fractional)
Mg 0.000 0.000 0.000
Mg 0.001 0.001 0.623
Mg 0.163 0.163 0.163
Mg 0.328 0.328 0.324
Mg 0.495 0.495 0.482
Mg 0.827 0.827 0.843
Bi 0.008 0.503 0.494
Bi 0.164 0.664 0.162
Bi 0.304 0.304 0.700
Bi 0.317 0.822 0.831
Bi 0.330 0.330 0.947
Bi 0.503 0.008 0.494
Bi 0.658 0.658 0.660
Bi 0.659 0.659 0.045
Bi 0.664 0.164 0.162
Bi 0.670 0.670 0.285
Bi 0.822 0.317 0.831
Bi 0.998 0.998 0.375
O 0.003 0.003 0.750
O 0.005 0.005 0.241
O 0.041 0.454 0.241
O 0.126 0.713 0.918
O 0.139 0.139 0.915
O 0.187 0.187 0.406
O 0.199 0.620 0.407
O 0.281 0.875 0.083
O 0.321 0.321 0.081
O 0.332 0.833 0.578
O 0.355 0.355 0.560
O 0.454 0.041 0.241
O 0.479 0.479 0.744
O 0.485 0.485 0.251
O 0.533 0.979 0.766
O 0.620 0.199 0.407
O 0.648 0.648 0.420
O 0.676 0.676 0.913
O 0.713 0.126 0.918
O 0.832 0.832 0.587
O 0.833 0.332 0.578
O 0.846 0.846 0.075
O 0.875 0.281 0.083
O 0.979 0.533 0.766

***

[2]
Diffraction record for Li6Hf2O7. The powder diffraction line list is computed, not measured: it uses a DFT-relaxed cell (PBE, the Materials Project) and Cu Ka.
Lines closer than 0.1° are merged.

Principal peaks in the range 10° ≤ 2θ ≤ 80°, by angle:
17.3 deg, intensity 1000; 20.6 deg, intensity 690; 22.4 deg, intensity 396; 27.0 deg, intensity 524; 29.5 deg, intensity 235; 29.7 deg, intensity 215; 31.3 deg, intensity 247; 36.3 deg, intensity 183; 41.8 deg, intensity 203; 42.4 deg, intensity 368

Unit cell a=5.352 b=6.048 c=10.352 alpha=90.00 beta=110.30 gamma=90.00
Element x y z (fractional)
Li 0.160 0.003 0.124
Li 0.160 0.497 0.624
Li 0.211 0.215 0.357
Li 0.211 0.285 0.857
Li 0.216 0.736 0.863
Li 0.216 0.764 0.363
Li 0.784 0.236 0.637
Li 0.784 0.264 0.137
Li 0.789 0.715 0.143
Li 0.789 0.785 0.643
Li 0.840 0.503 0.376
Li 0.840 0.997 0.876
Hf 0.270 0.009 0.634
Hf 0.270 0.491 0.134
Hf 0.730 0.509 0.866
Hf 0.730 0.991 0.366
O 0.011 0.732 0.004
O 0.011 0.768 0.504
O 0.045 0.011 0.755
O 0.045 0.489 0.255
O 0.479 0.218 0.236
O 0.479 0.282 0.736
O 0.500 0.000 0.500
O 0.500 0.500 0.000
O 0.521 0.718 0.264
O 0.521 0.782 0.764
O 0.955 0.511 0.745
O 0.955 0.989 0.245
O 0.989 0.232 0.496
O 0.989 0.268 0.996

***

[3]
Diffraction record for Te8MoW3. The powder diffraction line list is computed, not measured: it uses a DFT-relaxed cell (PBE, the Materials Project) and Cu Ka.
Lines closer than 0.1° are merged.

Principal peaks in the range 10° ≤ 2θ ≤ 80°, by angle:
11.0 deg, intensity 1000; 13.2 deg, intensity 160; 29.0 deg, intensity 413; 34.1 deg, intensity 978; 41.4 deg, intensity 658; 43.1 deg, intensity 224; 51.4 deg, intensity 407; 63.1 deg, intensity 165; 68.0 deg, intensity 167; 72.6 deg, intensity 191

Unit cell a=3.559 b=3.559 c=40.148 alpha=90.00 beta=90.00 gamma=120.00
Element x y z (fractional)
Te 0.000 0.000 0.000
Te 0.000 0.000 0.090
Te 0.000 0.000 0.376
Te 0.000 0.000 0.466
Te 0.667 0.333 0.188
Te 0.667 0.333 0.278
Te 0.667 0.333 0.563
Te 0.667 0.333 0.654
Mo 0.667 0.333 0.045
W 0.000 0.000 0.233
W 0.000 0.000 0.609
W 0.667 0.333 0.421

***

[4]
Diffraction record for Mg2InMo3S8. The powder diffraction line list is computed, not measured: it uses a DFT-relaxed cell (PBE, the Materials Project) and Cu Ka.
Lines closer than 0.1° are merged.

Principal peaks in the range 10° ≤ 2θ ≤ 80°, by angle:
14.4 deg, intensity 256; 14.5 deg, intensity 819; 27.8 deg, intensity 259; 27.9 deg, intensity 711; 33.8 deg, intensity 1000; 44.4 deg, intensity 257; 48.4 deg, intensity 441; 48.7 deg, intensity 453; 60.6 deg, intensity 162; 71.1 deg, intensity 131

Unit cell a=7.481 b=7.481 c=7.525 alpha=119.80 beta=119.80 gamma=59.95
Element x y z (fractional)
Mg 0.125 0.125 0.374
Mg 0.875 0.875 0.626
In 0.500 0.500 0.500
Mo 0.000 0.500 0.000
Mo 0.500 0.000 0.000
Mo 0.500 0.500 0.000
S 0.253 0.253 0.227
S 0.253 0.721 0.227
S 0.261 0.261 0.784
S 0.279 0.747 0.773
S 0.721 0.253 0.227
S 0.739 0.739 0.216
S 0.747 0.279 0.773
S 0.747 0.747 0.773

***

[5]
Diffraction record for CsGa3S5. The powder diffraction line list is computed, not measured: it uses a DFT-relaxed cell (PBE, the Materials Project) and Cu Ka.
Lines closer than 0.1° are merged.

Principal peaks in the range 10° ≤ 2θ ≤ 80°, by angle:
21.9 deg, intensity 419; 22.1 deg, intensity 1000; 24.4 deg, intensity 396; 24.5 deg, intensity 672; 24.9 deg, intensity 480; 26.7 deg, intensity 674; 27.6 deg, intensity 430; 29.8 deg, intensity 811; 30.6 deg, intensity 382; 32.7 deg, intensity 504

Unit cell a=10.959 b=12.959 c=7.066 alpha=90.00 beta=91.30 gamma=90.00
Element x y z (fractional)
Cs 0.141 0.083 0.365
Cs 0.141 0.417 0.865
Cs 0.859 0.583 0.135
Cs 0.859 0.917 0.635
Ga 0.172 0.700 0.483
Ga 0.172 0.800 0.983
Ga 0.372 0.037 0.897
Ga 0.372 0.463 0.397
Ga 0.485 0.725 0.264
Ga 0.485 0.775 0.764
Ga 0.515 0.225 0.236
Ga 0.515 0.275 0.736
Ga 0.628 0.537 0.603
Ga 0.628 0.963 0.103
Ga 0.828 0.200 0.017
Ga 0.828 0.300 0.517
S 0.069 0.702 0.762
S 0.069 0.798 0.262
S 0.185 0.534 0.375
S 0.185 0.966 0.875
S 0.338 0.189 0.747
S 0.338 0.311 0.247
S 0.361 0.710 0.996
S 0.361 0.790 0.496
S 0.456 0.053 0.208
S 0.456 0.447 0.708
S 0.544 0.553 0.292
S 0.544 0.947 0.792
S 0.639 0.210 0.504
S 0.639 0.290 0.004
S 0.662 0.689 0.753
S 0.662 0.811 0.253
S 0.815 0.034 0.125
S 0.815 0.466 0.625
S 0.931 0.202 0.738
S 0.931 0.298 0.238